[1]
Structure and simulated powder X-ray diffraction pattern of LaPr3Cd (a DFT-relaxed cell (PBE, Alexandria); Cu Kα).

Structural model:
```
data_LaPr3Cd
_chemical_formula_sum 'La4 Pr12 Cd4'
_symmetry_space_group_name_H-M 'C 1 m 1'
_symmetry_Int_Tables_number 8
_cell_length_a 17.213
_cell_length_b 5.410
_cell_length_c 7.238
_cell_angle_alpha 90.00
_cell_angle_beta 90.05
_cell_angle_gamma 90.00
loop_
_symmetry_equiv_pos_as_xyz
'x,y,z'
'x,-y,z'
'x+1/2,y+1/2,z'
'x+1/2,-y+1/2,z'
loop_
_atom_site_label
_atom_site_type_symbol
_atom_site_fract_x
_atom_site_fract_y
_atom_site_fract_z
La1 La 0.000 0.000 0.000
La2 La 0.223 0.000 0.500
Pr1 Pr 0.003 0.000 0.506
Pr2 Pr 0.109 0.500 0.255
Pr3 Pr 0.115 0.500 0.755
Pr4 Pr 0.220 0.000 0.006
Pr5 Pr 0.319 0.500 0.250
Pr6 Pr 0.404 0.000 0.750
Cd1 Cd 0.307 0.500 0.753
Cd2 Cd 0.416 0.000 0.252
```

Most intense lines, 2θ from 10° to 80°, in order of rising 2θ:
h k l  Position (°2θ)  d_spacing  Rel. int.
1 1 -2  30.2  2.963  912
5 1 0  30.8  2.904  1000
4 0 2  32.3  2.770  491
0 2 0  33.1  2.705  437
4 2 2  46.9  1.935  346
9 1 2  57.1  1.614  215
1 3 -2  57.3  1.607  150
5 3 0  57.7  1.598  166
5 1 4  60.3  1.536  289
0 2 4  61.7  1.504  147



[2]
Structure and simulated powder X-ray diffraction pattern of DyPuCu2O8 (a DFT-relaxed cell (PBE, Alexandria); Cu Kα).

Structural model:
```
data_DyPuCu2O8
_chemical_formula_sum 'Dy2 Pu2 Cu4 O16'
_symmetry_space_group_name_H-M 'I -4 m 2'
_symmetry_Int_Tables_number 119
_symmetry_space_group_name_Hall 'I -4 -2'
_cell_length_a 6.739
_cell_length_b 6.739
_cell_length_c 6.840
_cell_angle_alpha 90.00
_cell_angle_beta 90.00
_cell_angle_gamma 90.00
loop_
_atom_site_label
_atom_site_type_symbol
_atom_site_fract_x
_atom_site_fract_y
_atom_site_fract_z
Dy1 Dy 0.000 0.000 0.000
Pu1 Pu 0.000 0.500 0.250
Cu1 Cu 0.000 0.000 0.500
Cu2 Cu 0.000 0.500 0.750
O1 O 0.000 0.205 0.298
O2 O 0.000 0.328 0.955
```

Most intense lines, 2θ from 10° to 80°, in order of rising 2θ:
h k l  Position (°2θ)  d_spacing  Rel. int.
1 0 1  18.5  4.801  587
2 0 0  26.5  3.370  1000
1 1 2  32.2  2.778  944
2 1 1  32.5  2.758  155
2 2 0  37.8  2.383  250
3 1 2  50.5  1.809  695
4 0 0  54.5  1.685  155
2 0 4  60.7  1.525  185
4 2 0  61.5  1.507  152
3 3 2  64.7  1.441  194



[3]
Structure and simulated powder X-ray diffraction pattern of RbBa2Ga2S6 (a DFT-relaxed cell (PBE, Alexandria); Cu Kα).

Structural model:
```
data_RbBa2Ga2S6
_chemical_formula_sum 'Rb1 Ba2 Ga2 S6'
_symmetry_space_group_name_H-M 'P -1'
_symmetry_Int_Tables_number 2
_cell_length_a 6.764
_cell_length_b 8.128
_cell_length_c 8.200
_cell_angle_alpha 103.79
_cell_angle_beta 107.42
_cell_angle_gamma 113.91
loop_
_symmetry_equiv_pos_as_xyz
'x,y,z'
'-x,-y,-z'
loop_
_atom_site_label
_atom_site_type_symbol
_atom_site_fract_x
_atom_site_fract_y
_atom_site_fract_z
Rb1 Rb 0.000 0.000 0.000
Ba1 Ba 0.465 0.259 0.663
Ga1 Ga 0.081 0.448 0.668
S1 S 0.131 0.391 0.387
S2 S 0.132 0.843 0.327
S3 S 0.459 0.633 0.916
```

Most intense lines, 2θ from 10° to 80°, in order of rising 2θ:
h k l  Position (°2θ)  d_spacing  Rel. int.
0 0 1  12.4  7.128  391
0 1 1  21.5  4.131  828
1 1 -1  22.1  4.019  1000
1 -2 0  22.7  3.922  428
0 1 -2  22.9  3.882  846
-2 1 1  26.6  3.351  554
2 -2 1  33.4  2.685  400
-2 2 2  36.5  2.464  475
0 0 3  37.9  2.376  408
1 2 -3  38.4  2.346  394



[4]
Structure and simulated powder X-ray diffraction pattern of YSc4Ni2 (a DFT-relaxed cell (PBE, Alexandria); Cu Kα).

Structural model:
```
data_YSc4Ni2
_chemical_formula_sum 'Y2 Sc8 Ni4'
_symmetry_space_group_name_H-M 'P 1 21/m 1'
_symmetry_Int_Tables_number 11
_cell_length_a 7.256
_cell_length_b 5.927
_cell_length_c 7.477
_cell_angle_alpha 90.00
_cell_angle_beta 112.52
_cell_angle_gamma 90.00
loop_
_symmetry_equiv_pos_as_xyz
'x,y,z'
'-x,-y,-z'
'-x,y+1/2,-z'
'x,-y+1/2,z'
loop_
_atom_site_label
_atom_site_type_symbol
_atom_site_fract_x
_atom_site_fract_y
_atom_site_fract_z
Y1 Y 0.149 0.250 0.016
Sc1 Sc 0.022 0.250 0.393
Sc2 Sc 0.264 0.750 0.353
Sc3 Sc 0.408 0.002 0.765
Ni1 Ni 0.267 0.750 0.992
Ni2 Ni 0.379 0.250 0.424
```

Most intense lines, 2θ from 10° to 80°, in order of rising 2θ:
h k l  Position (°2θ)  d_spacing  Rel. int.
0 2 0  30.2  2.964  679
2 1 -2  32.9  2.720  584
1 2 -1  33.6  2.668  639
3 0 -1  37.2  2.414  1000
2 0 -3  38.0  2.368  383
2 2 -1  39.4  2.290  549
0 2 2  40.1  2.249  959
3 1 -2  41.7  2.165  395
3 1 0  43.3  2.091  409
0 4 0  62.7  1.481  383



[5]
Structure and simulated powder X-ray diffraction pattern of LaCeTe2O (a DFT-relaxed cell (PBE, Alexandria); Cu Kα).

Structural model:
```
data_LaCeTe2O
_chemical_formula_sum 'La2 Ce2 Te4 O2'
_symmetry_space_group_name_H-M 'P 4/n m m'
_symmetry_Int_Tables_number 129
_cell_length_a 4.284
_cell_length_b 4.284
_cell_length_c 16.182
_cell_angle_alpha 90.00
_cell_angle_beta 90.00
_cell_angle_gamma 90.00
loop_
_symmetry_equiv_pos_as_xyz
'x,y,z'
'-x,-y,-z'
'-y+1/2,x,z'
'y+1/2,-x,-z'
'-x+1/2,-y+1/2,z'
'x+1/2,y+1/2,-z'
'y,-x+1/2,z'
'-y,x+1/2,-z'
'x+1/2,-y,-z'
'-x+1/2,y,z'
'-y,-x,-z'
'y,x,z'
'-x,y+1/2,-z'
'x,-y+1/2,z'
'y+1/2,x+1/2,-z'
'-y+1/2,-x+1/2,z'
loop_
_atom_site_label
_atom_site_type_symbol
_atom_site_fract_x
_atom_site_fract_y
_atom_site_fract_z
La1 La 0.250 0.250 0.134
Ce1 Ce 0.250 0.250 0.567
Te1 Te 0.250 0.250 0.326
Te2 Te 0.250 0.250 0.917
O1 O 0.250 0.750 0.500
```

Most intense lines, 2θ from 10° to 80°, in order of rising 2θ:
h k l  Position (°2θ)  d_spacing  Rel. int.
1 0 1  21.5  4.142  153
0 0 4  22.0  4.046  218
1 0 3  26.6  3.355  395
1 1 0  29.5  3.030  1000
1 0 5  34.7  2.582  781
1 1 4  37.1  2.425  298
2 0 0  42.2  2.142  427
2 1 5  55.8  1.649  399
2 2 0  61.2  1.515  188
3 1 0  69.4  1.355  173